Computed X-ray diffraction stick pattern of Sc2SnSe4 for Cu Kα (weighted mean of Kα1 and Kα2), from a DFT-relaxed cell (GGA-PBE, Alexandria).
Peak positions follow from Bragg's law for the DFT cell and can differ from measured ones.

Structural model:
Lattice parameters (Å, degrees): 3.9256 13.0135 13.5252 90.00 90.00 90.00
Space group Cmcm (No. 63)
Asymmetric unit:
Sc  0.0000  0.1390  0.0619 (multiplicity 8)
Sn  0.0000  0.4077  0.2500 (multiplicity 4)
Se  0.0000  0.0625  0.2500 (multiplicity 4)
Se  0.0000  0.2318  0.6148 (multiplicity 8)
Se  0.0000  0.5000  0.0000 (multiplicity 4)

Principal peaks in the range 2θ from 10° to 90°, sorted by position:
index, 2theta, intensity
0 2 4, 29.8, 68
1 1 3, 31.0, 29
1 3 1, 31.4, 100
1 3 2, 33.5, 33
1 1 5, 41.1, 27
0 6 2, 43.8, 28
2 0 0, 46.3, 25
1 5 3, 46.5, 40
2 2 4, 56.0, 22
1 3 7, 57.2, 19